Entry 1:
Starting from the GGA-PBE geometry in Alexandria, the powder diffraction line list of Nd4P2Cl was simulated for λ = 1.5418 Å (Cu Kα).
Neutral-atom scattering factors, no anomalous dispersion.

Structure:
```
Nd4P2Cl
1.0
7.125 0.000 0.000
0.000 4.102 0.000
-2.342 0.000 6.742
Nd P Cl
4 2 1
direct
0.230 0.000 0.241
0.237 0.500 0.748
0.763 0.500 0.252
0.770 0.000 0.759
0.000 0.000 0.500
0.000 0.500 0.000
0.500 0.500 0.500
```

Peak list (10 most intense, 2θ = 5–70°, by angle)
- 3.368 Å, intensity 48
- 3.351 Å, intensity 48
- 2.910 Å, intensity 100
- 2.067 Å, intensity 12
- 2.057 Å, intensity 48
- 2.051 Å, intensity 12
- 1.759 Å, intensity 14
- 1.752 Å, intensity 23
- 1.676 Å, intensity 13
- 1.456 Å, intensity 7

---

Entry 2:
Starting from the GGA-PBE geometry in Alexandria, the powder diffraction line list of Nd3SbPCl was simulated for λ = 1.5418 Å (Cu Kα).
Neutral-atom scattering factors, no anomalous dispersion.

Structure:
```
Nd3SbPCl
1.0
8.577 0.000 0.000
0.000 4.326 0.000
-2.218 0.000 9.328
Nd Sb P Cl
6 2 2 2
direct
0.069 0.250 0.352
0.220 0.250 0.985
0.390 0.750 0.630
0.610 0.250 0.370
0.780 0.750 0.015
0.931 0.750 0.648
0.314 0.750 0.273
0.686 0.250 0.727
0.162 0.250 0.657
0.838 0.750 0.343
0.397 0.750 0.919
0.603 0.250 0.081
```

Peak list (10 most intense, 2θ = 5–70°, by angle)
- 3.517 Å, intensity 18
- 3.425 Å, intensity 16
- 3.170 Å, intensity 21
- 3.133 Å, intensity 24
- 3.109 Å, intensity 39
- 3.005 Å, intensity 100
- 2.366 Å, intensity 16
- 2.163 Å, intensity 25
- 2.144 Å, intensity 16
- 1.776 Å, intensity 15

---

Entry 3:
Starting from the GGA-PBE geometry in Alexandria, the powder diffraction line list of Nd8Si3PCl4 was simulated for λ = 1.5418 Å (Cu Kα).
Neutral-atom scattering factors, no anomalous dispersion.

Structure:
```
Nd8Si3PCl4
1.0
4.207 2.429 7.031
-4.207 2.429 7.031
0.000 -4.857 7.031
Nd Si P Cl
8 3 1 4
direct
0.241 0.241 0.241
0.242 0.739 0.739
0.261 0.261 0.758
0.261 0.758 0.261
0.739 0.242 0.739
0.739 0.739 0.242
0.758 0.261 0.261
0.759 0.759 0.759
0.000 0.000 0.500
0.000 0.500 0.000
0.500 0.000 0.000
0.500 0.500 0.500
0.000 0.000 0.000
0.000 0.500 0.500
0.500 0.000 0.500
0.500 0.500 0.000
```

Peak list (10 most intense, 2θ = 5–70°, by angle)
- 3.515 Å, intensity 17
- 3.443 Å, intensity 57
- 2.997 Å, intensity 100
- 2.136 Å, intensity 32
- 2.103 Å, intensity 38
- 1.805 Å, intensity 17
- 1.795 Å, intensity 10
- 1.722 Å, intensity 19
- 1.499 Å, intensity 10
- 1.349 Å, intensity 11